1.
Theoretical powder XRD pattern
Compound: HgC4NCl3
Radiation: CuKα
Structure: DFT lattice parameters and positions (PBE)
Kinematic intensities with the Lorentz-polarization factor, no thermal factor.

Principal peaks in the range 10 to 80 degrees two-theta, by angle:
hkl 0 1 1, 11.63 deg, I = 100
hkl 0 2 0, 12.94 deg, I = 31
hkl 0 3 1, 21.77 deg, I = 26
hkl 0 2 2, 23.38 deg, I = 18
hkl 2 1 0, 23.86 deg, I = 13
hkl 2 2 -1, 25.99 deg, I = 8
hkl 2 3 0, 30.26 deg, I = 15
hkl 0 4 2, 32.66 deg, I = 10
hkl 0 5 1, 34.19 deg, I = 8
hkl 2 4 -1, 34.66 deg, I = 11

Structural model:
```
data_HgC4NCl3
_chemical_formula_sum 'Hg4 C16 N4 Cl12'
_space_group_name_H-M_alt 'P 1 21 1'
_space_group_IT_number 4
_space_group_name_Hall 'P 2yb'
_cell_length_a 8.0334
_cell_length_b 13.6794
_cell_length_c 9.4877
_cell_angle_alpha 90.00
_cell_angle_beta 105.18
_cell_angle_gamma 90.00
loop_
_atom_site_label
_atom_site_fract_x
_atom_site_fract_y
_atom_site_fract_z
_atom_site_occupancy
Hg1 0.0471 0.0000 0.2268 1
Hg2 0.3696 0.5154 0.6868 1
C1 0.0199 0.1929 0.8654 1
C2 0.0243 0.5919 0.1552 1
C3 0.0369 0.1497 0.7429 1
C4 0.0883 0.1499 0.4921 1
C5 0.4268 0.8613 0.0018 1
C6 0.4416 0.8424 0.8729 1
C7 0.4587 0.8198 0.7444 1
C8 0.4664 0.2697 0.4824 1
N1 0.0756 0.1509 0.6145 1
N2 0.4641 0.8038 0.6198 1
Cl1 0.0343 0.2886 0.9762 1
Cl2 0.0603 0.4046 0.6015 1
Cl3 0.2803 0.0724 0.1543 1
Cl4 0.2846 0.5433 0.9120 1
Cl5 0.4049 0.5886 0.4684 1
Cl6 0.4396 0.8126 0.3421 1
```

2.
Theoretical powder XRD pattern
Compound: HgCNCl3
Radiation: CuKα
Structure: DFT lattice parameters and positions (PBE)
Kinematic intensities with the Lorentz-polarization factor, no thermal factor.

Principal peaks in the range 10 to 80 degrees two-theta, by angle:
hkl 1 0 1, 15.69 deg, I = 100
hkl 1 1 0, 22.26 deg, I = 73
hkl 2 0 2, 31.69 deg, I = 39
hkl 1 1 3, 35.50 deg, I = 27
hkl 3 -1 1, 35.60 deg, I = 25
hkl 1 2 2, 39.11 deg, I = 23
hkl 0 2 4, 45.34 deg, I = 12
hkl 2 2 0, 45.51 deg, I = 9
hkl 3 0 3, 48.39 deg, I = 21
hkl 4 -3 4, 61.47 deg, I = 9

Structural model:
```
data_HgCNCl3
_chemical_formula_sum 'Hg3 C3 N3 Cl9'
_space_group_name_H-M_alt 'P 32'
_space_group_IT_number 145
_space_group_name_Hall 'P 32'
_cell_length_a 7.9729
_cell_length_b 7.9729
_cell_length_c 9.8149
_cell_angle_alpha 90.00
_cell_angle_beta 90.00
_cell_angle_gamma 120.00
loop_
_atom_site_label
_atom_site_fract_x
_atom_site_fract_y
_atom_site_fract_z
_atom_site_occupancy
Hg1 0.0228 0.6848 0.0000 1
C1 0.0568 0.6718 0.4630 1
N1 0.3852 0.3301 0.2203 1
Cl1 0.0644 0.1520 0.5141 1
Cl2 0.1084 0.4671 0.8117 1
Cl3 0.5655 0.1515 0.4720 1
```

Number 1 is which compound?
HgC4NCl3